# 1
Theoretical powder diffractogram of Ba8Sb for Cu Kα, from a DFT-relaxed cell (GGA-PBE, Alexandria).
Intensities are scaled so that the largest is 100.

Structural model:
```
data_Ba8Sb
_chemical_formula_sum 'Ba16 Sb2'
_cell_length_a 14.3655
_cell_length_b 14.3655
_cell_length_c 4.8596
_cell_angle_alpha 90.00
_cell_angle_beta 90.00
_cell_angle_gamma 90.00
_symmetry_space_group_name_H-M 'I 4/m m m'
_symmetry_Int_Tables_number 139
_symmetry_space_group_name_Hall '-I 4 2'
loop_
_atom_site_label
_atom_site_type_symbol
_atom_site_fract_x
_atom_site_fract_y
_atom_site_fract_z
Ba1 Ba 0.0000 0.3356 0.0000
Ba2 Ba 0.1397 0.1397 0.5000
Sb1 Sb 0.0000 0.0000 0.0000
```

Peak list (10 most intense, 5° ≤ 2θ ≤ 70°, low angle first)
(hkl), d/Å, intensity
3 0 1, 3.411, 100
3 3 0, 3.386, 44
5 0 1, 2.473, 9
0 0 2, 2.430, 11
6 0 0, 2.394, 13
3 3 2, 1.974, 19
6 3 1, 1.960, 27
6 0 2, 1.705, 9
8 3 1, 1.589, 7
3 0 3, 1.534, 9

# 2
Theoretical powder diffractogram of BaSb4Se8 for Cu Kα, from a DFT-relaxed cell (GGA-PBE, Alexandria).
Intensities are scaled so that the largest is 100.

Structural model:
```
data_BaSb4Se8
_chemical_formula_sum 'Ba4 Sb16 Se32'
_cell_length_a 12.0928
_cell_length_b 12.0928
_cell_length_c 12.0928
_cell_angle_alpha 90.00
_cell_angle_beta 90.00
_cell_angle_gamma 90.00
_symmetry_space_group_name_H-M 'F -4 3 m'
_symmetry_Int_Tables_number 216
_symmetry_space_group_name_Hall 'F -4 2 3'
loop_
_atom_site_label
_atom_site_type_symbol
_atom_site_fract_x
_atom_site_fract_y
_atom_site_fract_z
Ba1 Ba 0.0000 0.0000 0.0000
Sb1 Sb 0.1182 0.1182 0.6182
Se1 Se 0.1179 0.1179 0.3821
Se2 Se 0.1453 0.1453 0.8547
```

Peak list (10 most intense, 5° ≤ 2θ ≤ 70°, low angle first)
(hkl), d/Å, intensity
1 1 1, 6.982, 58
3 1 1, 3.646, 67
4 0 0, 3.023, 89
5 1 1, 2.327, 57
4 4 0, 2.138, 100
4 4 4, 1.745, 19
5 5 3, 1.574, 16
8 0 0, 1.512, 14
5 5 5, 1.396, 15
8 4 0, 1.352, 19

# 3
Theoretical powder diffractogram of BaSb2Se4 for Cu Kα, from a DFT-relaxed cell (GGA-PBE, Alexandria).
Intensities are scaled so that the largest is 100.

Structural model:
```
data_BaSb2Se4
_chemical_formula_sum 'Ba8 Sb16 Se32'
_cell_length_a 8.7756
_cell_length_b 21.3022
_cell_length_c 12.6673
_cell_angle_alpha 90.00
_cell_angle_beta 132.88
_cell_angle_gamma 90.00
_symmetry_space_group_name_H-M 'P 1 21/c 1'
_symmetry_Int_Tables_number 14
loop_
_symmetry_equiv_pos_as_xyz
'x,y,z'
'-x,-y,-z'
'-x,y+1/2,-z+1/2'
'x,-y+1/2,z+1/2'
loop_
_atom_site_label
_atom_site_type_symbol
_atom_site_fract_x
_atom_site_fract_y
_atom_site_fract_z
Ba1 Ba 0.1551 0.1945 0.1005
Ba2 Ba 0.3441 0.7046 0.8983
Sb1 Sb 0.0134 0.5053 0.3548
Sb2 Sb 0.1632 0.6213 0.1472
Sb3 Sb 0.3705 0.1123 0.8805
Sb4 Sb 0.3951 0.0339 0.5905
Se1 Se 0.0192 0.0333 0.6627
Se2 Se 0.1961 0.2185 0.8517
Se3 Se 0.1964 0.6457 0.3662
Se4 Se 0.2305 0.5867 0.6794
Se5 Se 0.2329 0.1529 0.5719
Se6 Se 0.3162 0.7282 0.1476
Se7 Se 0.3603 0.0623 0.0702
Se8 Se 0.3942 0.0752 0.3932
```

Peak list (10 most intense, 5° ≤ 2θ ≤ 70°, low angle first)
(hkl), d/Å, intensity
1 5 -1, 3.833, 45
2 4 -2, 3.386, 37
2 2 0, 3.078, 39
2 5 -2, 3.057, 42
2 2 -4, 3.031, 93
2 3 0, 2.929, 100
2 3 -4, 2.888, 68
0 7 2, 2.545, 94
0 0 4, 2.321, 60
1 10 -3, 1.889, 35

# 4
Theoretical powder diffractogram of BaSb2Se4 for Cu Kα, from a DFT-relaxed cell (GGA-PBE, Alexandria).
Intensities are scaled so that the largest is 100.

Structural model:
```
data_BaSb2Se4
_chemical_formula_sum 'Ba4 Sb8 Se16'
_cell_length_a 9.3311
_cell_length_b 13.6653
_cell_length_c 8.2201
_cell_angle_alpha 90.00
_cell_angle_beta 119.97
_cell_angle_gamma 90.00
_symmetry_space_group_name_H-M 'C 1 c 1'
_symmetry_Int_Tables_number 9
loop_
_symmetry_equiv_pos_as_xyz
'x,y,z'
'x,-y,z+1/2'
'x+1/2,y+1/2,z'
'x+1/2,-y+1/2,z+1/2'
loop_
_atom_site_label
_atom_site_type_symbol
_atom_site_fract_x
_atom_site_fract_y
_atom_site_fract_z
Ba1 Ba 0.0000 0.1222 0.0000
Sb1 Sb 0.1715 0.2642 0.6437
Sb2 Sb 0.4825 0.0096 0.2700
Se1 Se 0.0778 0.3088 0.2890
Se2 Se 0.2484 0.0221 0.4138
Se3 Se 0.2575 0.4508 0.7113
Se4 Se 0.3988 0.2204 0.1588
```

Peak list (10 most intense, 5° ≤ 2θ ≤ 70°, low angle first)
(hkl), d/Å, intensity
0 2 1, 4.930, 82
1 3 -1, 3.897, 41
0 2 2, 3.156, 77
3 1 -1, 3.005, 95
3 1 -2, 2.913, 100
1 1 2, 2.729, 80
1 1 -3, 2.615, 51
1 5 0, 2.589, 67
0 4 2, 2.465, 53
3 3 0, 2.318, 44

# 5
Theoretical powder diffractogram of Ba2Sb2Se5 for Cu Kα, from a DFT-relaxed cell (GGA-PBE, Alexandria).
Intensities are scaled so that the largest is 100.

Structural model:
```
data_Ba2Sb2Se5
_chemical_formula_sum 'Ba8 Sb8 Se20'
_cell_length_a 23.8469
_cell_length_b 7.9500
_cell_length_c 7.3794
_cell_angle_alpha 90.00
_cell_angle_beta 106.44
_cell_angle_gamma 90.00
_symmetry_space_group_name_H-M 'C 1 c 1'
_symmetry_Int_Tables_number 9
loop_
_symmetry_equiv_pos_as_xyz
'x,y,z'
'x,-y,z+1/2'
'x+1/2,y+1/2,z'
'x+1/2,-y+1/2,z+1/2'
loop_
_atom_site_label
_atom_site_type_symbol
_atom_site_fract_x
_atom_site_fract_y
_atom_site_fract_z
Ba1 Ba 0.0000 0.2085 0.0000
Ba2 Ba 0.1893 0.2886 0.1854
Sb1 Sb 0.1077 0.2560 0.6064
Sb2 Sb 0.3533 0.3476 0.9495
Se1 Se 0.0794 0.4946 0.3298
Se2 Se 0.1044 0.0009 0.3569
Se3 Se 0.2212 0.3003 0.7111
Se4 Se 0.3458 0.3355 0.3242
Se5 Se 0.4622 0.2974 0.9995
```

Peak list (10 most intense, 5° ≤ 2θ ≤ 70°, low angle first)
(hkl), d/Å, intensity
2 0 0, 11.436, 85
1 1 0, 7.509, 73
0 2 0, 3.973, 66
2 0 -2, 3.688, 62
5 1 1, 3.144, 56
7 1 -1, 3.087, 45
8 0 0, 2.859, 43
2 2 -2, 2.704, 100
1 3 0, 2.632, 32
8 0 -2, 2.617, 27